[1]
This entry pairs a crystal structure of Tb3Bi with its simulated X-ray powder pattern. Radiation: Cu Kα, 1.54184 Å. Structure: a cell relaxed with PBE.

Crystal structure
abc: 6.2768 6.2768 6.2768
angles: 135.64 135.64 64.53
Atoms (fractional coordinates):
Tb 0.0000 0.0000 0.0000
Tb 0.2500 0.7500 0.5000
Tb 0.7500 0.2500 0.5000
Bi 0.5000 0.5000 0.0000

Top 6 peaks for 2θ from 15° to 90°, in order of rising 2θ:
d 2.833, 2θ 31.58, I = 100.0
d 2.654, 2θ 33.78, I = 20.8
d 2.369, 2θ 37.97, I = 30.4
d 1.767, 2θ 51.72, I = 25.3
d 1.564, 2θ 59.04, I = 17.1
d 1.442, 2θ 64.63, I = 26.0

=====

[2]
This entry pairs a crystal structure of Sb with its simulated X-ray powder pattern. Radiation: Cu Kα, 1.54184 Å. Structure: a cell relaxed with PBE.

Crystal structure
abc: 3.6143 3.6143 3.6143
angles: 128.42 128.42 75.95
Atoms (fractional coordinates):
Sb 0.0000 0.0000 0.0000

Top 6 peaks for 2θ from 15° to 90°, in order of rising 2θ:
d 2.849, 2θ 31.40, I = 27.4
d 2.753, 2θ 32.52, I = 100.0
d 2.224, 2θ 40.57, I = 27.1
d 1.753, 2θ 52.18, I = 25.7
d 1.626, 2θ 56.61, I = 20.0
d 1.366, 2θ 68.74, I = 22.2

=====

[3]
This entry pairs a crystal structure of Dy2Ni3B6 with its simulated X-ray powder pattern. Radiation: Cu Kα, 1.54184 Å. Structure: a cell relaxed with PBE.

Crystal structure
abc: 5.7810 5.7810 3.4719
angles: 90.00 90.00 96.76
Atoms (fractional coordinates):
Dy 0.2234 0.7766 0.0000
Dy 0.7766 0.2234 0.0000
Ni 0.2740 0.2740 0.0000
Ni 0.5000 0.5000 0.5000
Ni 0.7260 0.7260 0.0000
B 0.1135 0.1135 0.5000
B 0.1152 0.4153 0.5000
B 0.4153 0.1152 0.5000
B 0.5847 0.8848 0.5000
B 0.8848 0.5847 0.5000
B 0.8865 0.8865 0.5000

Top 6 peaks for 2θ from 15° to 90°, in order of rising 2θ:
d 3.840, 2θ 23.16, I = 21.8
d 3.472, 2θ 25.66, I = 36.8
d 2.870, 2θ 31.16, I = 50.1
d 2.707, 2θ 33.10, I = 20.7
d 2.212, 2θ 40.79, I = 100.0
d 2.161, 2θ 41.80, I = 17.6